(1)
Theoretical powder XRD pattern
Compound: NpPIO4
Radiation: Cu Kα
Structure: a crystal structure in Alexandria, relaxed with PBE
Peak positions follow from Bragg's law for the DFT cell and can differ from measured ones.

Cell and atoms:
```
data_NpPIO4
_cell_length_a 10.549
_cell_length_b 6.917
_cell_length_c 6.606
_cell_angle_alpha 90.00
_cell_angle_beta 102.28
_cell_angle_gamma 90.00
_space_group_name_H-M_alt 'C 1 2/m 1'
_space_group_IT_number 12
loop_
_space_group_symop_operation_xyz
'x,y,z'
'-x,-y,-z'
'-x,y,-z'
'x,-y,z'
'x+1/2,y+1/2,z'
'-x+1/2,-y+1/2,-z'
'-x+1/2,y+1/2,-z'
'x+1/2,-y+1/2,z'
loop_
_atom_site_label
_atom_site_type_symbol
_atom_site_fract_x
_atom_site_fract_y
_atom_site_fract_z
Np1 Np 0.230 0.000 0.338
P1 P 0.136 0.000 0.760
I1 I 0.016 0.500 0.251
O1 O 0.012 0.000 0.272
O2 O 0.187 0.175 0.645
O3 O 0.199 0.000 0.992
```

The 6 most intense peaks (2θ = 10–80°), in order of rising 2θ:
- hkl 1 1 1, 21.90°, rel. 45
- hkl 0 2 0, 25.76°, rel. 100
- hkl 3 1 0, 29.02°, rel. 53
- hkl 1 1 2, 33.42°, rel. 48
- hkl 3 1 1, 34.60°, rel. 44
- hkl 3 1 -2, 36.30°, rel. 59

=====

(2)
Theoretical powder XRD pattern
Compound: Er7IrSe5
Radiation: Cu Kα
Structure: a crystal structure in Alexandria, relaxed with PBE
Peak positions follow from Bragg's law for the DFT cell and can differ from measured ones.

Cell and atoms:
```
data_Er7IrSe5
_cell_length_a 3.923
_cell_length_b 13.309
_cell_length_c 24.261
_cell_angle_alpha 90.00
_cell_angle_beta 90.00
_cell_angle_gamma 90.00
_space_group_name_H-M_alt 'C m c 21'
_space_group_IT_number 36
loop_
_space_group_symop_operation_xyz
'x,y,z'
'-x,-y,z+1/2'
'-x,y,z'
'x,-y,z+1/2'
'x+1/2,y+1/2,z'
'-x+1/2,-y+1/2,z+1/2'
'-x+1/2,y+1/2,z'
'x+1/2,-y+1/2,z+1/2'
loop_
_atom_site_label
_atom_site_type_symbol
_atom_site_fract_x
_atom_site_fract_y
_atom_site_fract_z
Er1 Er 0.000 0.046 0.000
Er2 Er 0.000 0.132 0.717
Er3 Er 0.000 0.146 0.291
Er4 Er 0.000 0.288 0.935
Er5 Er 0.000 0.306 0.069
Er6 Er 0.000 0.392 0.622
Er7 Er 0.000 0.420 0.365
Ir1 Ir 0.000 0.307 0.511
Se1 Se 0.000 0.047 0.611
Se2 Se 0.000 0.063 0.396
Se3 Se 0.000 0.214 0.824
Se4 Se 0.000 0.228 0.181
Se5 Se 0.000 0.491 0.751
```

The 6 most intense peaks (2θ = 10–80°), in order of rising 2θ:
- hkl 0 2 7, 29.05°, rel. 70
- hkl 1 3 2, 31.32°, rel. 100
- hkl 0 2 8, 32.43°, rel. 91
- hkl 1 1 9, 41.19°, rel. 49
- hkl 0 6 5, 44.93°, rel. 29
- hkl 2 0 0, 46.29°, rel. 36

=====

(3)
Theoretical powder XRD pattern
Compound: KIn2Ga2
Radiation: Cu Kα
Structure: a crystal structure in Alexandria, relaxed with PBE
Peak positions follow from Bragg's law for the DFT cell and can differ from measured ones.

Cell and atoms:
```
data_KIn2Ga2
_cell_length_a 4.748
_cell_length_b 4.748
_cell_length_c 12.183
_cell_angle_alpha 90.00
_cell_angle_beta 90.00
_cell_angle_gamma 90.00
_space_group_name_H-M_alt 'I 4/m m m'
_space_group_IT_number 139
_space_group_name_Hall '-I 4 2'
loop_
_atom_site_label
_atom_site_type_symbol
_atom_site_fract_x
_atom_site_fract_y
_atom_site_fract_z
K1 K 0.000 0.000 0.000
In1 In 0.000 0.000 0.380
Ga1 Ga 0.000 0.500 0.250
```

The 6 most intense peaks (2θ = 10–80°), in order of rising 2θ:
- hkl 1 0 1, 20.07°, rel. 83
- hkl 1 0 3, 28.93°, rel. 77
- hkl 1 1 2, 30.40°, rel. 74
- hkl 2 0 0, 37.90°, rel. 89
- hkl 1 1 4, 39.97°, rel. 100
- hkl 3 1 4, 69.85°, rel. 40

=====

(4)
Theoretical powder XRD pattern
Compound: Y2SbO
Radiation: Cu Kα
Structure: a crystal structure in Alexandria, relaxed with PBE
Peak positions follow from Bragg's law for the DFT cell and can differ from measured ones.

Cell and atoms:
```
data_Y2SbO
_cell_length_a 6.219
_cell_length_b 6.261
_cell_length_c 11.453
_cell_angle_alpha 90.00
_cell_angle_beta 115.32
_cell_angle_gamma 90.00
_space_group_name_H-M_alt 'P 1 2/c 1'
_space_group_IT_number 13
loop_
_space_group_symop_operation_xyz
'x,y,z'
'-x,-y,-z'
'-x,y,-z+1/2'
'x,-y,z+1/2'
loop_
_atom_site_label
_atom_site_type_symbol
_atom_site_fract_x
_atom_site_fract_y
_atom_site_fract_z
Y1 Y 0.088 0.217 0.091
Y2 Y 0.293 0.192 0.838
Sb1 Sb 0.376 0.296 0.379
O1 O 0.022 0.131 0.621
```

The 6 most intense peaks (2θ = 10–80°), in order of rising 2θ:
- hkl 0 2 0, 28.51°, rel. 77
- hkl 2 0 -2, 28.95°, rel. 100
- hkl 0 1 3, 29.56°, rel. 55
- hkl 0 0 4, 34.66°, rel. 45
- hkl 2 1 1, 39.36°, rel. 40
- hkl 2 2 -2, 41.08°, rel. 52

=====

(5)
Theoretical powder XRD pattern
Compound: Rh2PbF8
Radiation: Cu Kα
Structure: a crystal structure in Alexandria, relaxed with PBE
Peak positions follow from Bragg's law for the DFT cell and can differ from measured ones.

Cell and atoms:
```
data_Rh2PbF8
_cell_length_a 7.2765
_cell_length_b 7.2765
_cell_length_c 4.1148
_cell_angle_alpha 90.00
_cell_angle_beta 90.00
_cell_angle_gamma 120.00
_space_group_name_H-M_alt 'P -3'
_space_group_IT_number 147
loop_
_space_group_symop_operation_xyz
'x,y,z'
'-x,-y,-z'
'-y,x-y,z'
'y,-x+y,-z'
'-x+y,-x,z'
'x-y,x,-z'
loop_
_atom_site_label
_atom_site_type_symbol
_atom_site_fract_x
_atom_site_fract_y
_atom_site_fract_z
Rh1 Rh 0.3333 0.6667 0.2677
Pb1 Pb 0.0000 0.0000 0.0000
F1 F 0.1723 0.8255 0.2686
F2 F 0.3333 0.6667 0.7675
```

The 6 most intense peaks (2θ = 10–80°), in order of rising 2θ:
- hkl 1 1 0, 24.47°, rel. 100
- hkl 0 1 1, 25.86°, rel. 80
- hkl 2 0 1, 35.90°, rel. 22
- hkl 3 0 0, 43.06°, rel. 22
- hkl 1 2 1, 43.93°, rel. 38
- hkl 2 2 0, 50.15°, rel. 26

=====

(6)
Theoretical powder XRD pattern
Compound: Cs2K3Bi2
Radiation: Cu Kα
Structure: a crystal structure in Alexandria, relaxed with PBE
Peak positions follow from Bragg's law for the DFT cell and can differ from measured ones.

Cell and atoms:
```
data_Cs2K3Bi2
_cell_length_a 10.803
_cell_length_b 6.163
_cell_length_c 11.035
_cell_angle_alpha 90.00
_cell_angle_beta 108.08
_cell_angle_gamma 90.00
_space_group_name_H-M_alt 'C 1 2/m 1'
_space_group_IT_number 12
loop_
_space_group_symop_operation_xyz
'x,y,z'
'-x,-y,-z'
'-x,y,-z'
'x,-y,z'
'x+1/2,y+1/2,z'
'-x+1/2,-y+1/2,-z'
'-x+1/2,y+1/2,-z'
'x+1/2,-y+1/2,z'
loop_
_atom_site_label
_atom_site_type_symbol
_atom_site_fract_x
_atom_site_fract_y
_atom_site_fract_z
Cs1 Cs 0.130 0.000 0.395
K1 K 0.000 0.000 0.000
K2 K 0.213 0.500 0.140
Bi1 Bi 0.094 0.500 0.781
```

The 6 most intense peaks (2θ = 10–80°), in order of rising 2θ:
- hkl 1 1 1, 19.98°, rel. 78
- hkl 2 0 -2, 20.10°, rel. 38
- hkl 1 1 2, 25.77°, rel. 70
- hkl 2 0 -3, 26.00°, rel. 35
- hkl 3 1 -1, 28.71°, rel. 100
- hkl 0 2 0, 28.97°, rel. 49

=====

(7)
Theoretical powder XRD pattern
Compound: Ce5Pr
Radiation: Cu Kα
Structure: a crystal structure in Alexandria, relaxed with PBE
Peak positions follow from Bragg's law for the DFT cell and can differ from measured ones.

Cell and atoms:
```
data_Ce5Pr
_cell_length_a 4.817
_cell_length_b 14.508
_cell_length_c 4.800
_cell_angle_alpha 90.00
_cell_angle_beta 90.00
_cell_angle_gamma 90.00
_space_group_name_H-M_alt 'C m m m'
_space_group_IT_number 65
_space_group_name_Hall '-C 2 2'
loop_
_atom_site_label
_atom_site_type_symbol
_atom_site_fract_x
_atom_site_fract_y
_atom_site_fract_z
Ce1 Ce 0.000 0.000 0.000
Ce2 Ce 0.000 0.171 0.500
Ce3 Ce 0.000 0.330 0.000
Pr1 Pr 0.000 0.500 0.500
```

The 6 most intense peaks (2θ = 10–80°), in order of rising 2θ:
- hkl 1 3 1, 32.18°, rel. 100
- hkl 0 6 0, 37.18°, rel. 17
- hkl 2 0 0, 37.33°, rel. 17
- hkl 0 0 2, 37.47°, rel. 17
- hkl 3 3 1, 64.11°, rel. 14
- hkl 1 3 3, 64.30°, rel. 14

=====

(8)
Theoretical powder XRD pattern
Compound: KCdIn2Bi
Radiation: Cu Kα
Structure: a crystal structure in Alexandria, relaxed with PBE
Peak positions follow from Bragg's law for the DFT cell and can differ from measured ones.

Cell and atoms:
```
data_KCdIn2Bi
_cell_length_a 5.036
_cell_length_b 5.384
_cell_length_c 12.397
_cell_angle_alpha 90.00
_cell_angle_beta 90.00
_cell_angle_gamma 90.00
_space_group_name_H-M_alt 'I m m 2'
_space_group_IT_number 44
loop_
_space_group_symop_operation_xyz
'x,y,z'
'-x,-y,z'
'-x,y,z'
'x,-y,z'
'x+1/2,y+1/2,z+1/2'
'-x+1/2,-y+1/2,z+1/2'
'-x+1/2,y+1/2,z+1/2'
'x+1/2,-y+1/2,z+1/2'
loop_
_atom_site_label
_atom_site_type_symbol
_atom_site_fract_x
_atom_site_fract_y
_atom_site_fract_z
K1 K 0.000 0.000 0.000
Cd1 Cd 0.000 0.500 0.748
In1 In 0.000 0.000 0.368
In2 In 0.000 0.500 0.261
Bi1 Bi 0.000 0.000 0.610
```

The 6 most intense peaks (2θ = 10–80°), in order of rising 2θ:
- hkl 0 1 1, 17.96°, rel. 46
- hkl 1 0 1, 19.02°, rel. 49
- hkl 1 1 2, 28.21°, rel. 89
- hkl 0 2 0, 33.28°, rel. 51
- hkl 2 0 0, 35.66°, rel. 42
- hkl 1 1 4, 37.97°, rel. 100